No. 1
For Li9Al4, DFT lattice parameters and positions (PBE) gives the calculated X-ray diffraction stick pattern in this record (a wavelength of 1.5418 Å).

Structure:
Cell lengths 18.690, 4.471, 5.368 Å; angles 90.00, 105.24, 90.00 degrees
Space group C2/m (No. 12)
Unique sites:
1 Li 0.000 0.000 0.000 x2
2 Li 0.044 0.500 0.326 x4
3 Li 0.086 0.000 0.641 x4
4 Li 0.192 0.500 0.527 x4
5 Li 0.233 0.000 0.843 x4
6 Al 0.114 0.500 0.934 x4
7 Al 0.151 0.000 0.217 x4

Main lines, sorted by position (10° ≤ 2θ ≤ 90°):
2θ 17.12, I = 25, hkl 0 0 1; 2θ 19.69, I = 46, hkl 4 0 0; 2θ 22.49, I = 30, hkl 4 0 -1; 2θ 27.64, I = 26, hkl 1 1 1; 2θ 27.94, I = 10, hkl 3 1 -1; 2θ 39.17, I = 26, hkl 8 0 -1; 2θ 39.56, I = 100, hkl 3 1 -2; 2θ 40.35, I = 26, hkl 0 2 0; 2θ 41.73, I = 15, hkl 1 1 2; 2θ 57.49, I = 17, hkl 8 2 -1; 2θ 71.16, I = 12, hkl 13 1 0; 2θ 71.32, I = 12, hkl 11 1 -3


No. 2
For ErP2Pd2, DFT lattice parameters and positions (PBE) gives the calculated X-ray diffraction stick pattern in this record (a wavelength of 1.5418 Å).

Structure:
Cell lengths 4.086, 4.086, 9.918 Å; angles 90.00, 90.00, 90.00 degrees
Space group I4/mmm (No. 139)
Unique sites:
1 Er 0.000 0.000 0.000 x2
2 P 0.000 0.000 0.390 x4
3 Pd 0.000 0.500 0.250 x4

Main lines, sorted by position (10° ≤ 2θ ≤ 90°):
2θ 23.55, I = 25, hkl 1 0 1; 2θ 34.91, I = 27, hkl 1 0 3; 2θ 35.98, I = 100, hkl 1 1 2; 2θ 36.23, I = 17, hkl 0 0 4; 2θ 44.34, I = 35, hkl 2 0 0; 2θ 51.19, I = 12, hkl 1 0 5; 2θ 57.64, I = 13, hkl 2 1 3; 2θ 58.54, I = 17, hkl 2 0 4; 2θ 64.51, I = 11, hkl 2 2 0; 2θ 65.00, I = 14, hkl 1 1 6; 2θ 70.01, I = 9, hkl 2 1 5; 2θ 76.14, I = 22, hkl 3 1 2


No. 3
For MnCdTe2, DFT lattice parameters and positions (PBE) gives the calculated X-ray diffraction stick pattern in this record (a wavelength of 1.5418 Å).

Structure:
Cell lengths 4.6020, 4.6020, 22.3169 Å; angles 90.00, 90.00, 120.00 degrees
Space group R3m (No. 160, hexagonal axes)
Unique sites:
1 Mn 0.0000 0.0000 0.0000 x3
2 Cd 0.0000 0.0000 0.5019 x3
3 Te 0.0000 0.0000 0.1221 x3
4 Te 0.0000 0.0000 0.6303 x3

Main lines, sorted by position (10° ≤ 2θ ≤ 90°):
2θ 23.71, I = 100, hkl 0 1 2; 2θ 23.92, I = 32, hkl 0 0 6; 2θ 39.15, I = 51, hkl 1 1 0; 2θ 39.43, I = 49, hkl 0 1 8; 2θ 46.28, I = 16, hkl 2 0 2; 2θ 46.40, I = 32, hkl 1 1 6; 2θ 46.65, I = 15, hkl 1 0 10; 2θ 56.78, I = 16, hkl 2 0 8; 2θ 62.18, I = 13, hkl 1 2 2; 2θ 71.13, I = 16, hkl 1 2 8; 2θ 76.25, I = 9, hkl 2 1 10; 2θ 89.03, I = 10, hkl 3 1 2